[1]
Structure and theoretical powder X-ray diffraction pattern of BaSiAg2Se2S2 (a cell relaxed with GGA-PBE; Cu Kα (λ = 1.5418 Å)).

Top 8 peaks for 2θ = 5–70°, sorted by position:
hkl 0 2 0, d = 3.480 Å, intensity 35; hkl 1 1 1, d = 3.204 Å, intensity 78; hkl 3 1 -1, d = 3.164 Å, intensity 100; hkl 1 1 -2, d = 2.930 Å, intensity 36; hkl 2 2 -1, d = 2.908 Å, intensity 27; hkl 2 2 -2, d = 2.461 Å, intensity 61; hkl 1 3 1, d = 1.952 Å, intensity 31; hkl 4 2 0, d = 1.791 Å, intensity 24

Crystal structure
```
data_BaSiAg2Se2S2
_cell_length_a 10.774
_cell_length_b 6.962
_cell_length_c 6.959
_cell_angle_alpha 90.00
_cell_angle_beta 129.18
_cell_angle_gamma 90.00
_space_group_name_H-M_alt 'C 1 2 1'
_space_group_IT_number 5
loop_
_space_group_symop_operation_xyz
'x,y,z'
'-x,y,-z'
'x+1/2,y+1/2,z'
'-x+1/2,y+1/2,-z'
loop_
_atom_site_label
_atom_site_type_symbol
_atom_site_fract_x
_atom_site_fract_y
_atom_site_fract_z
_atom_site_occupancy
Ba1 Ba 0.000 0.000 0.000 1
Si1 Si 0.000 0.478 0.500 1
Ag1 Ag 0.250 0.496 0.263 1
Se1 Se 0.152 0.677 0.840 1
S1 S 0.151 0.306 0.468 1
```

[2]
Structure and theoretical powder X-ray diffraction pattern of Li4Zr2O (a cell relaxed with GGA-PBE; Cu Kα (λ = 1.5418 Å)).

Top 8 peaks for 2θ = 5–70°, sorted by position:
hkl 0 0 1, d = 14.917 Å, intensity 46; hkl 0 0 2, d = 7.459 Å, intensity 100; hkl 0 0 3, d = 4.972 Å, intensity 100; hkl 0 0 5, d = 2.983 Å, intensity 27; hkl 1 1 1, d = 2.609 Å, intensity 97; hkl 2 0 2, d = 2.497 Å, intensity 59; hkl 2 0 -3, d = 2.339 Å, intensity 31; hkl 1 1 -4, d = 2.160 Å, intensity 55

Crystal structure
```
data_Li4Zr2O
_cell_length_a 5.299
_cell_length_b 3.061
_cell_length_c 14.917
_cell_angle_alpha 90.00
_cell_angle_beta 90.11
_cell_angle_gamma 90.00
_space_group_name_H-M_alt 'C 1 m 1'
_space_group_IT_number 8
loop_
_space_group_symop_operation_xyz
'x,y,z'
'x,-y,z'
'x+1/2,y+1/2,z'
'x+1/2,-y+1/2,z'
loop_
_atom_site_label
_atom_site_type_symbol
_atom_site_fract_x
_atom_site_fract_y
_atom_site_fract_z
_atom_site_occupancy
Li1 Li 0.000 0.000 0.000 1
Li2 Li 0.000 0.000 0.241 1
Li3 Li 0.166 0.500 0.120 1
Li4 Li 0.166 0.500 0.628 1
Zr1 Zr 0.167 0.500 0.426 1
Zr2 Zr 0.333 0.000 0.814 1
O1 O 0.000 0.000 0.120 1
```

[3]
Structure and theoretical powder X-ray diffraction pattern of Th2ScSi3 (a cell relaxed with GGA-PBE; Cu Kα (λ = 1.5418 Å)).

Top 8 peaks for 2θ = 5–70°, sorted by position:
hkl 0 0 1, d = 7.964 Å, intensity 48; hkl 1 0 1, d = 3.648 Å, intensity 100; hkl 1 1 0, d = 2.902 Å, intensity 56; hkl 1 0 2, d = 2.858 Å, intensity 99; hkl 1 1 1, d = 2.727 Å, intensity 56; hkl 2 0 0, d = 2.052 Å, intensity 38; hkl 2 1 1, d = 1.789 Å, intensity 41; hkl 2 1 2, d = 1.667 Å, intensity 42

Crystal structure
```
data_Th2ScSi3
_cell_length_a 4.104
_cell_length_b 4.104
_cell_length_c 7.964
_cell_angle_alpha 90.00
_cell_angle_beta 90.00
_cell_angle_gamma 90.00
_space_group_name_H-M_alt 'P -4 m 2'
_space_group_IT_number 115
loop_
_space_group_symop_operation_xyz
'x,y,z'
'y,-x,-z'
'-x,-y,z'
'-y,x,-z'
'-x,y,z'
'-y,-x,-z'
'x,-y,z'
'y,x,-z'
loop_
_atom_site_label
_atom_site_type_symbol
_atom_site_fract_x
_atom_site_fract_y
_atom_site_fract_z
_atom_site_occupancy
Th1 Th 0.000 0.500 0.153 1
Sc1 Sc 0.000 0.000 0.500 1
Si1 Si 0.000 0.500 0.757 1
Si2 Si 0.500 0.500 0.500 1
```

[4]
Structure and theoretical powder X-ray diffraction pattern of Li4HfAlO6 (a cell relaxed with GGA-PBE; Cu Kα (λ = 1.5418 Å)).

Top 8 peaks for 2θ = 5–70°, sorted by position:
hkl 0 0 1, d = 4.772 Å, intensity 100; hkl 0 2 0, d = 4.436 Å, intensity 49; hkl 1 1 0, d = 4.233 Å, intensity 89; hkl 1 1 -1, d = 3.761 Å, intensity 69; hkl 0 2 1, d = 3.249 Å, intensity 48; hkl 1 1 1, d = 2.787 Å, intensity 32; hkl 1 3 0, d = 2.520 Å, intensity 34; hkl 1 3 1, d = 2.083 Å, intensity 53

Crystal structure
```
data_Li4HfAlO6
_cell_length_a 5.109
_cell_length_b 8.873
_cell_length_c 5.061
_cell_angle_alpha 90.00
_cell_angle_beta 109.48
_cell_angle_gamma 90.00
_space_group_name_H-M_alt 'C 1 2 1'
_space_group_IT_number 5
loop_
_space_group_symop_operation_xyz
'x,y,z'
'-x,y,-z'
'x+1/2,y+1/2,z'
'-x+1/2,y+1/2,-z'
loop_
_atom_site_label
_atom_site_type_symbol
_atom_site_fract_x
_atom_site_fract_y
_atom_site_fract_z
_atom_site_occupancy
Li1 Li 0.000 0.000 0.000 1
Li2 Li 0.000 0.153 0.500 1
Li3 Li 0.000 0.515 0.500 1
Li4 Li 0.000 0.841 0.500 1
Hf1 Hf 0.000 0.335 0.000 1
Al1 Al 0.000 0.667 0.000 1
O1 O 0.227 0.510 0.234 1
O2 O 0.233 0.671 0.771 1
O3 O 0.238 0.819 0.233 1
```

[5]
Structure and theoretical powder X-ray diffraction pattern of LiMg2Zn2NiPt2 (a cell relaxed with GGA-PBE; Cu Kα (λ = 1.5418 Å)).

Top 8 peaks for 2θ = 5–70°, sorted by position:
hkl 1 0 1, d = 3.548 Å, intensity 95; hkl 1 1 0, d = 3.082 Å, intensity 21; hkl 2 0 0, d = 2.179 Å, intensity 51; hkl 1 1 2, d = 2.170 Å, intensity 100; hkl 2 1 1, d = 1.857 Å, intensity 32; hkl 1 0 3, d = 1.845 Å, intensity 16; hkl 2 2 0, d = 1.541 Å, intensity 17; hkl 2 1 3, d = 1.408 Å, intensity 13

Crystal structure
```
data_LiMg2Zn2NiPt2
_cell_length_a 4.359
_cell_length_b 4.359
_cell_length_c 6.109
_cell_angle_alpha 90.00
_cell_angle_beta 90.00
_cell_angle_gamma 90.00
_space_group_name_H-M_alt 'P -4 m 2'
_space_group_IT_number 115
loop_
_space_group_symop_operation_xyz
'x,y,z'
'y,-x,-z'
'-x,-y,z'
'-y,x,-z'
'-x,y,z'
'-y,-x,-z'
'x,-y,z'
'y,x,-z'
loop_
_atom_site_label
_atom_site_type_symbol
_atom_site_fract_x
_atom_site_fract_y
_atom_site_fract_z
_atom_site_occupancy
Li1 Li 0.000 0.000 0.000 1
Mg1 Mg 0.000 0.500 0.744 1
Zn1 Zn 0.000 0.500 0.257 1
Ni1 Ni 0.500 0.500 0.500 1
Pt1 Pt 0.000 0.000 0.500 1
Pt2 Pt 0.500 0.500 0.000 1
```

[6]
Structure and theoretical powder X-ray diffraction pattern of Li2Mg2AlZnAg2 (a cell relaxed with GGA-PBE; Cu Kα (λ = 1.5418 Å)).

Top 8 peaks for 2θ = 5–70°, sorted by position:
hkl 1 0 0, d = 4.538 Å, intensity 3; hkl 1 0 1, d = 3.704 Å, intensity 83; hkl 1 1 0, d = 3.208 Å, intensity 6; hkl 1 1 1, d = 2.870 Å, intensity 2; hkl 2 0 0, d = 2.269 Å, intensity 100; hkl 2 1 1, d = 1.935 Å, intensity 39; hkl 2 2 0, d = 1.604 Å, intensity 16; hkl 3 0 1, d = 1.472 Å, intensity 15

Crystal structure
```
data_Li2Mg2AlZnAg2
_cell_length_a 4.538
_cell_length_b 4.538
_cell_length_c 6.413
_cell_angle_alpha 90.00
_cell_angle_beta 90.00
_cell_angle_gamma 90.00
_space_group_name_H-M_alt 'P -4 m 2'
_space_group_IT_number 115
loop_
_space_group_symop_operation_xyz
'x,y,z'
'y,-x,-z'
'-x,-y,z'
'-y,x,-z'
'-x,y,z'
'-y,-x,-z'
'x,-y,z'
'y,x,-z'
loop_
_atom_site_label
_atom_site_type_symbol
_atom_site_fract_x
_atom_site_fract_y
_atom_site_fract_z
_atom_site_occupancy
Li1 Li 0.000 0.500 0.244 1
Mg1 Mg 0.000 0.000 0.000 1
Mg2 Mg 0.500 0.500 0.500 1
Al1 Al 0.000 0.000 0.500 1
Zn1 Zn 0.500 0.500 0.000 1
Ag1 Ag 0.000 0.500 0.746 1
```

What did the fifth record say?
Structure and theoretical powder X-ray diffraction pattern of LiMg2Zn2NiPt2 (a cell relaxed with GGA-PBE; Cu Kα (λ = 1.5418 Å)).

Top 8 peaks for 2θ = 5–70°, sorted by position:
hkl 1 0 1, d = 3.548 Å, intensity 95; hkl 1 1 0, d = 3.082 Å, intensity 21; hkl 2 0 0, d = 2.179 Å, intensity 51; hkl 1 1 2, d = 2.170 Å, intensity 100; hkl 2 1 1, d = 1.857 Å, intensity 32; hkl 1 0 3, d = 1.845 Å, intensity 16; hkl 2 2 0, d = 1.541 Å, intensity 17; hkl 2 1 3, d = 1.408 Å, intensity 13

Crystal structure
```
data_LiMg2Zn2NiPt2
_cell_length_a 4.359
_cell_length_b 4.359
_cell_length_c 6.109
_cell_angle_alpha 90.00
_cell_angle_beta 90.00
_cell_angle_gamma 90.00
_space_group_name_H-M_alt 'P -4 m 2'
_space_group_IT_number 115
loop_
_space_group_symop_operation_xyz
'x,y,z'
'y,-x,-z'
'-x,-y,z'
'-y,x,-z'
'-x,y,z'
'-y,-x,-z'
'x,-y,z'
'y,x,-z'
loop_
_atom_site_label
_atom_site_type_symbol
_atom_site_fract_x
_atom_site_fract_y
_atom_site_fract_z
_atom_site_occupancy
Li1 Li 0.000 0.000 0.000 1
Mg1 Mg 0.000 0.500 0.744 1
Zn1 Zn 0.000 0.500 0.257 1
Ni1 Ni 0.500 0.500 0.500 1
Pt1 Pt 0.000 0.000 0.500 1
Pt2 Pt 0.500 0.500 0.000 1
```

What did the fifth record say?
Structure and theoretical powder X-ray diffraction pattern of LiMg2Zn2NiPt2 (a cell relaxed with GGA-PBE; Cu Kα (λ = 1.5418 Å)).

Top 8 peaks for 2θ = 5–70°, sorted by position:
hkl 1 0 1, d = 3.548 Å, intensity 95; hkl 1 1 0, d = 3.082 Å, intensity 21; hkl 2 0 0, d = 2.179 Å, intensity 51; hkl 1 1 2, d = 2.170 Å, intensity 100; hkl 2 1 1, d = 1.857 Å, intensity 32; hkl 1 0 3, d = 1.845 Å, intensity 16; hkl 2 2 0, d = 1.541 Å, intensity 17; hkl 2 1 3, d = 1.408 Å, intensity 13

Crystal structure
```
data_LiMg2Zn2NiPt2
_cell_length_a 4.359
_cell_length_b 4.359
_cell_length_c 6.109
_cell_angle_alpha 90.00
_cell_angle_beta 90.00
_cell_angle_gamma 90.00
_space_group_name_H-M_alt 'P -4 m 2'
_space_group_IT_number 115
loop_
_space_group_symop_operation_xyz
'x,y,z'
'y,-x,-z'
'-x,-y,z'
'-y,x,-z'
'-x,y,z'
'-y,-x,-z'
'x,-y,z'
'y,x,-z'
loop_
_atom_site_label
_atom_site_type_symbol
_atom_site_fract_x
_atom_site_fract_y
_atom_site_fract_z
_atom_site_occupancy
Li1 Li 0.000 0.000 0.000 1
Mg1 Mg 0.000 0.500 0.744 1
Zn1 Zn 0.000 0.500 0.257 1
Ni1 Ni 0.500 0.500 0.500 1
Pt1 Pt 0.000 0.000 0.500 1
Pt2 Pt 0.500 0.500 0.000 1
```